[1]
Structure and theoretical powder XRD pattern of NdDy3Ho4 (DFT lattice parameters and positions (GGA-PBE); λ = 1.5418 Å (Cu Kα)).
Kinematic intensities with the Lorentz-polarization factor, no thermal factor.

Largest 8 diffraction maxima, in order of falling intensity, 10 to 90 degrees two-theta:
2θ = 32.6°, 2.744 Å, intensity 100.0; 2θ = 28.4°, 3.141 Å, intensity 23.9; 2θ = 31.8°, 2.818 Å, intensity 23.9; 2θ = 60.7°, 1.525 Å, intensity 22.6; 2θ = 57.1°, 1.612 Å, intensity 20.4; 2θ = 43.1°, 2.098 Å, intensity 15.6; 2θ = 50.3°, 1.812 Å, intensity 13.2; 2θ = 61.2°, 1.514 Å, intensity 11.0

```
data_NdDy3Ho4
_cell_length_a 11.2729
_cell_length_b 7.2630
_cell_length_c 6.2742
_cell_angle_alpha 90.00
_cell_angle_beta 90.00
_cell_angle_gamma 90.00
_space_group_name_H-M_alt 'P 1'
_space_group_IT_number 1
loop_
_space_group_symop_operation_xyz
'x,y,z'
loop_
_atom_site_label
_atom_site_type_symbol
_atom_site_fract_x
_atom_site_fract_y
_atom_site_fract_z
Nd1 Nd 0.0000 0.1259 0.0000
Nd2 Nd 0.5000 0.8741 0.5000
Dy1 Dy 0.0000 0.8734 0.4998
Dy2 Dy 0.2501 0.1266 0.3338
Dy3 Dy 0.2499 0.8734 0.8338
Dy4 Dy 0.5000 0.1266 0.9998
Dy5 Dy 0.7499 0.1266 0.3338
Dy6 Dy 0.7501 0.8734 0.8338
Ho1 Ho 0.0000 0.3763 0.5012
Ho2 Ho 0.0000 0.6235 0.0002
Ho3 Ho 0.2484 0.6235 0.3336
Ho4 Ho 0.2516 0.3765 0.8336
Ho5 Ho 0.5000 0.3765 0.5002
Ho6 Ho 0.5000 0.6237 0.0012
Ho7 Ho 0.7484 0.3765 0.8336
Ho8 Ho 0.7516 0.6235 0.3336
```

=====

[2]
Structure and theoretical powder XRD pattern of CdCuReSe2 (DFT lattice parameters and positions (GGA-PBE); λ = 1.5418 Å (Cu Kα)).
Kinematic intensities with the Lorentz-polarization factor, no thermal factor.

Largest 8 diffraction maxima, in order of falling intensity, 10 to 90 degrees two-theta:
2θ = 18.7°, 4.756 Å, intensity 100.0; 2θ = 37.8°, 2.378 Å, intensity 89.9; 2θ = 50.9°, 1.795 Å, intensity 75.7; 2θ = 32.7°, 2.736 Å, intensity 66.9; 2θ = 54.6°, 1.681 Å, intensity 54.3; 2θ = 42.5°, 2.125 Å, intensity 44.9; 2θ = 24.8°, 3.590 Å, intensity 36.6; 2θ = 26.5°, 3.363 Å, intensity 35.6

```
data_CdCuReSe2
_cell_length_a 4.7558
_cell_length_b 4.7558
_cell_length_c 5.4730
_cell_angle_alpha 90.00
_cell_angle_beta 90.00
_cell_angle_gamma 90.00
_space_group_name_H-M_alt 'P 1'
_space_group_IT_number 1
loop_
_space_group_symop_operation_xyz
'x,y,z'
loop_
_atom_site_label
_atom_site_type_symbol
_atom_site_fract_x
_atom_site_fract_y
_atom_site_fract_z
Cd1 Cd 0.0000 0.0000 0.0000
Cu1 Cu 0.5000 0.5000 0.0000
Re1 Re 0.0000 0.0000 0.5000
Se1 Se 0.0000 0.5000 0.5000
Se2 Se 0.5000 0.0000 0.5000
```

=====

[3]
Structure and theoretical powder XRD pattern of Na17Sr2 (DFT lattice parameters and positions (GGA-PBE); λ = 1.5418 Å (Cu Kα)).
Kinematic intensities with the Lorentz-polarization factor, no thermal factor.

Largest 8 diffraction maxima, in order of falling intensity, 10 to 90 degrees two-theta:
2θ = 29.8°, 3.002 Å, intensity 100.0; 2θ = 21.0°, 4.228 Å, intensity 29.6; 2θ = 25.7°, 3.472 Å, intensity 28.7; 2θ = 30.3°, 2.947 Å, intensity 22.1; 2θ = 30.1°, 2.972 Å, intensity 17.7; 2θ = 26.3°, 3.387 Å, intensity 17.5; 2θ = 53.2°, 1.721 Å, intensity 13.7; 2θ = 47.9°, 1.900 Å, intensity 13.5

```
data_Na17Sr2
_cell_length_a 9.1414
_cell_length_b 9.1414
_cell_length_c 9.1414
_cell_angle_alpha 82.29
_cell_angle_beta 82.29
_cell_angle_gamma 82.29
_space_group_name_H-M_alt 'P 1'
_space_group_IT_number 1
loop_
_space_group_symop_operation_xyz
'x,y,z'
loop_
_atom_site_label
_atom_site_type_symbol
_atom_site_fract_x
_atom_site_fract_y
_atom_site_fract_z
Na1 Na 0.0000 0.0000 0.5000
Na2 Na 0.0000 0.3016 0.6984
Na3 Na 0.0000 0.5000 0.0000
Na4 Na 0.0000 0.6984 0.3016
Na5 Na 0.1010 0.1010 0.1010
Na6 Na 0.1560 0.6451 0.6451
Na7 Na 0.3016 0.0000 0.6984
Na8 Na 0.3016 0.6984 0.0000
Na9 Na 0.3549 0.3549 0.8440
Na10 Na 0.3549 0.8440 0.3549
Na11 Na 0.5000 0.0000 0.0000
Na12 Na 0.6451 0.1560 0.6451
Na13 Na 0.6451 0.6451 0.1560
Na14 Na 0.6984 0.0000 0.3016
Na15 Na 0.6984 0.3016 0.0000
Na16 Na 0.8440 0.3549 0.3549
Na17 Na 0.8990 0.8990 0.8990
Sr1 Sr 0.3391 0.3391 0.3391
Sr2 Sr 0.6609 0.6609 0.6609
```

=====

[4]
Structure and theoretical powder XRD pattern of BaPbSeCl2 (DFT lattice parameters and positions (GGA-PBE); λ = 1.5418 Å (Cu Kα)).
Kinematic intensities with the Lorentz-polarization factor, no thermal factor.

Largest 8 diffraction maxima, in order of falling intensity, 10 to 90 degrees two-theta:
2θ = 21.1°, 4.219 Å, intensity 100.0; 2θ = 32.1°, 2.792 Å, intensity 38.4; 2θ = 28.9°, 3.093 Å, intensity 33.9; 2θ = 30.0°, 2.981 Å, intensity 32.3; 2θ = 43.7°, 2.070 Å, intensity 29.2; 2θ = 33.1°, 2.705 Å, intensity 27.9; 2θ = 38.7°, 2.330 Å, intensity 26.4; 2θ = 45.4°, 1.997 Å, intensity 21.9

```
data_BaPbSeCl2
_cell_length_a 6.7936
_cell_length_b 6.7936
_cell_length_c 11.1648
_cell_angle_alpha 90.00
_cell_angle_beta 90.00
_cell_angle_gamma 141.50
_space_group_name_H-M_alt 'P 1'
_space_group_IT_number 1
loop_
_space_group_symop_operation_xyz
'x,y,z'
loop_
_atom_site_label
_atom_site_type_symbol
_atom_site_fract_x
_atom_site_fract_y
_atom_site_fract_z
Ba1 Ba 0.2484 0.7516 0.7500
Ba2 Ba 0.7516 0.2484 0.2500
Pb1 Pb 0.5000 0.5000 0.0000
Pb2 Pb 0.5000 0.5000 0.5000
Se1 Se 0.4304 0.5696 0.2500
Se2 Se 0.5696 0.4304 0.7500
Cl1 Cl 0.1520 0.8480 0.0618
Cl2 Cl 0.1520 0.8480 0.4382
Cl3 Cl 0.8480 0.1520 0.5618
Cl4 Cl 0.8480 0.1520 0.9382
```

=====

[5]
Structure and theoretical powder XRD pattern of Cs3Rb2I5 (DFT lattice parameters and positions (GGA-PBE); λ = 1.5418 Å (Cu Kα)).
Kinematic intensities with the Lorentz-polarization factor, no thermal factor.

Largest 8 diffraction maxima, in order of falling intensity, 10 to 90 degrees two-theta:
2θ = 33.0°, 2.718 Å, intensity 100.0; 2θ = 23.1°, 3.845 Å, intensity 84.1; 2θ = 23.2°, 3.842 Å, intensity 42.2; 2θ = 53.3°, 1.720 Å, intensity 32.6; 2θ = 40.6°, 2.220 Å, intensity 18.8; 2θ = 47.3°, 1.922 Å, intensity 17.4; 2θ = 53.4°, 1.717 Å, intensity 15.7; 2θ = 58.8°, 1.571 Å, intensity 15.3

```
data_Cs3Rb2I5
_cell_length_a 9.4257
_cell_length_b 9.4257
_cell_length_c 13.2844
_cell_angle_alpha 118.10
_cell_angle_beta 118.10
_cell_angle_gamma 33.55
_space_group_name_H-M_alt 'P 1'
_space_group_IT_number 1
loop_
_space_group_symop_operation_xyz
'x,y,z'
loop_
_atom_site_label
_atom_site_type_symbol
_atom_site_fract_x
_atom_site_fract_y
_atom_site_fract_z
Cs1 Cs 0.0000 0.0000 0.0000
Cs2 Cs 0.2041 0.2041 0.7971
Cs3 Cs 0.7959 0.7959 0.2029
Rb1 Rb 0.4016 0.4016 0.5965
Rb2 Rb 0.5984 0.5984 0.4035
I1 I 0.0000 0.0000 0.5000
I2 I 0.1971 0.1971 0.3119
I3 I 0.4026 0.4026 0.1083
I4 I 0.5974 0.5974 0.8917
I5 I 0.8029 0.8029 0.6881
```

=====

[6]
Structure and theoretical powder XRD pattern of Ba7Sr5 (DFT lattice parameters and positions (GGA-PBE); λ = 1.5418 Å (Cu Kα)).
Kinematic intensities with the Lorentz-polarization factor, no thermal factor.

Largest 8 diffraction maxima, in order of falling intensity, 10 to 90 degrees two-theta:
2θ = 25.6°, 3.480 Å, intensity 100.0; 2θ = 26.2°, 3.397 Å, intensity 53.0; 2θ = 45.5°, 1.993 Å, intensity 23.4; 2θ = 45.1°, 2.009 Å, intensity 21.4; 2θ = 23.5°, 3.783 Å, intensity 21.3; 2θ = 37.0°, 2.431 Å, intensity 21.3; 2θ = 52.6°, 1.740 Å, intensity 13.5; 2θ = 22.2°, 4.000 Å, intensity 13.3

```
data_Ba7Sr5
_cell_length_a 18.2688
_cell_length_b 18.2688
_cell_length_c 18.2688
_cell_angle_alpha 21.96
_cell_angle_beta 21.96
_cell_angle_gamma 21.96
_space_group_name_H-M_alt 'P 1'
_space_group_IT_number 1
loop_
_space_group_symop_operation_xyz
'x,y,z'
loop_
_atom_site_label
_atom_site_type_symbol
_atom_site_fract_x
_atom_site_fract_y
_atom_site_fract_z
Ba1 Ba 0.0000 0.0000 0.0000
Ba2 Ba 0.1923 0.1923 0.1923
Ba3 Ba 0.2751 0.2751 0.2751
Ba4 Ba 0.4257 0.4257 0.4257
Ba5 Ba 0.5743 0.5743 0.5743
Ba6 Ba 0.7249 0.7249 0.7249
Ba7 Ba 0.8077 0.8077 0.8077
Sr1 Sr 0.1088 0.1088 0.1088
Sr2 Sr 0.3515 0.3515 0.3515
Sr3 Sr 0.5000 0.5000 0.5000
Sr4 Sr 0.6485 0.6485 0.6485
Sr5 Sr 0.8912 0.8912 0.8912
```